[1]
This entry pairs a crystal structure of MgCuBiW2O8 with its computed PXRD pattern. Radiation: Cu Kα. Structure: a structure optimized by DFT (PBE+U).
Lines closer than 0.1° are merged.

Principal peaks in the range 2θ from 10° to 80°, sorted by position:
h k l  2theta  Rel. int.
0 1 0  16.4  20
0 1 -1  18.1  48
-1 1 1  25.6  100
0 1 1  25.8  24
1 1 -1  28.7  36
1 -2 1  30.1  35
0 2 0  33.1  22
2 -1 0  33.4  34

Structure:
a = 5.3750 Å, b = 6.2335 Å, c = 6.2751 Å
α = 107.40°, β = 91.78°, γ = 112.83°
Element x y z (fractional)
Mg 0.0000 0.0000 0.0000
Cu 0.7475 0.5203 0.6019
Bi 0.3173 0.6192 0.1371
W 0.0245 0.0564 0.4891
W 0.5267 0.0421 0.7766
O 0.2173 0.2485 0.3298
O 0.2410 0.8437 0.4697
O 0.2576 0.8283 0.9317
O 0.2618 0.2144 0.8112
O 0.7460 0.8329 0.6622
O 0.7658 0.8124 0.1962
O 0.7669 0.2261 0.5846
O 0.7875 0.2311 0.0296


[2]
This entry pairs a crystal structure of Li5Mn3O8 with its computed PXRD pattern. Radiation: Cu Kα. Structure: a structure optimized by DFT (PBE+U).
Lines closer than 0.1° are merged.

Principal peaks in the range 2θ from 10° to 80°, sorted by position:
h k l  2theta  Rel. int.
0 0 1  10.3  12
0 1 0  15.2  13
0 1 -1  18.4  100
0 1 3  34.9  14
1 1 1  36.4  23
0 0 4  42.0  27
1 2 0  44.3  53
1 2 4  62.7  27

Structure:
a = 2.8738 Å, b = 5.8251 Å, c = 8.6011 Å
α = 89.93°, β = 89.97°, γ = 89.97°
Element x y z (fractional)
Li 0.0000 0.0000 0.0000
Li 0.0000 0.0000 0.5000
Li 0.0000 0.5000 0.0000
Li 0.4927 0.7565 0.2095
Li 0.5073 0.2435 0.7904
Mn 0.0000 0.5000 0.5000
Mn 0.4960 0.7514 0.7675
Mn 0.5040 0.2486 0.2325
O 0.0038 0.0254 0.2502
O 0.0036 0.4803 0.2429
O 0.4967 0.7523 0.9780
O 0.4979 0.7288 0.5220
O 0.5021 0.2712 0.4780
O 0.5033 0.2477 0.0220
O 0.9964 0.5197 0.7571
O 0.9962 0.9746 0.7498